AlCdIn: computed powder XRD pattern (a wavelength of 1.5418 Å), based on a cell relaxed with PBE.
Peak positions follow from Bragg's law for the DFT cell and can differ from measured ones.

Peak list (10 most intense, 2θ from 10° to 90°, by intensity)
(hkl)	Position (°2θ)	d [Å]	intensity
1 1 -1	36.47	2.464	100
-1 1 2	38.60	2.332	82
0 0 3	33.38	2.684	65
0 2 1	33.04	2.711	61
0 1 3	34.31	2.614	46
0 1 -2	30.25	2.955	42
1 0 1	31.11	2.875	38
0 0 1	10.99	8.052	25
1 0 4	54.46	1.685	25
0 1 1	17.97	4.936	18

Cell: 3.078 5.475 8.212 Å, 78.69 89.91 89.93°
Sites, in units of the cell vectors:
Al1 0.000 0.000 0.000
Al2 0.500 0.252 0.737
Cd1 0.002 0.771 0.677
Cd2 0.502 0.899 0.317
In1 0.002 0.369 0.414
In2 0.502 0.499 0.037